No. 1
Structure and computed X-ray powder pattern of SrTaH (a cell relaxed with GGA-PBE; copper Kα).

Crystal structure
Unit cell a=3.603 b=3.651 c=9.423 alpha=90.00 beta=90.00 gamma=90.00
Space group Pmm2 (No. 25)
Symmetry-distinct sites (fractional):
Sr: 0.000 0.000 0.000
Sr: 0.500 0.500 0.375
Ta: 0.000 0.000 0.633
Ta: 0.500 0.500 0.740
H: 0.000 0.000 0.423
H: 0.500 0.000 0.193

Top 6 peaks for 15° ≤ 2θ ≤ 90°, by angle:
2θ/deg, I/Imax, hkl
30.99, 58, 0 1 2
31.25, 57, 1 0 2
34.99, 100, 1 1 0
36.31, 47, 1 1 1
37.78, 38, 0 1 3
45.67, 42, 1 1 3

=====

No. 2
Structure and computed X-ray powder pattern of SrTaH (a cell relaxed with GGA-PBE; copper Kα).

Crystal structure
Unit cell a=6.199 b=3.067 c=12.468 alpha=90.00 beta=90.00 gamma=90.00
Space group Pnma (No. 62)
Symmetry-distinct sites (fractional):
Sr: 0.138 0.250 0.156
Ta: 0.137 0.250 0.438
H: 0.219 0.250 0.848

Top 6 peaks for 15° ≤ 2θ ≤ 90°, by angle:
2θ/deg, I/Imax, hkl
15.97, 87, 1 0 1
29.70, 68, 2 0 1
32.14, 94, 1 0 4
36.41, 67, 0 1 3
41.42, 100, 2 1 0
43.94, 81, 1 1 4

=====

No. 3
Structure and computed X-ray powder pattern of SrTcH2 (a cell relaxed with GGA-PBE; copper Kα).

Crystal structure
Unit cell a=5.409 b=5.409 c=7.293 alpha=90.00 beta=90.00 gamma=90.00
Space group I-42d (No. 122)
Symmetry-distinct sites (fractional):
Sr: 0.000 0.000 0.000
Tc: 0.000 0.000 0.500
H: 0.149 0.250 0.625

Top 6 peaks for 15° ≤ 2θ ≤ 90°, by angle:
2θ/deg, I/Imax, hkl
33.13, 52, 2 0 0
33.97, 100, 1 1 2
47.55, 19, 2 2 0
59.72, 38, 3 1 2
61.32, 18, 2 0 4
71.50, 11, 2 2 4

=====

No. 4
Structure and computed X-ray powder pattern of SrTc2H8 (a cell relaxed with GGA-PBE; copper Kα).

Crystal structure
Unit cell a=4.933 b=8.525 c=4.628 alpha=90.00 beta=90.01 gamma=90.00
Space group Cm (No. 8)
Symmetry-distinct sites (fractional):
Sr: 0.000 0.000 0.000
Tc: 0.003 0.333 0.490
H: 0.006 0.331 0.853
H: 0.096 0.500 0.274
H: 0.204 0.201 0.276
H: 0.304 0.000 0.601
H: 0.355 0.353 0.590

Top 6 peaks for 15° ≤ 2θ ≤ 90°, by angle:
2θ/deg, I/Imax, hkl
19.18, 18, 0 0 1
28.45, 100, 0 2 1
36.47, 61, 2 0 0
38.92, 17, 0 0 2
46.89, 25, 2 2 1
54.39, 38, 2 0 2

=====

No. 5
Structure and computed X-ray powder pattern of SrTeH2 (a cell relaxed with GGA-PBE; copper Kα).

Crystal structure
Unit cell a=9.201 b=6.207 c=6.208 alpha=90.00 beta=90.00 gamma=90.00
Space group Pbcm (No. 57)
Symmetry-distinct sites (fractional):
Sr: 0.148 0.001 0.250
Te: 0.295 0.000 0.750
H: 0.002 0.750 0.000
H: 0.477 0.012 0.750

Top 6 peaks for 15° ≤ 2θ ≤ 90°, by angle:
2θ/deg, I/Imax, hkl
19.29, 44, 2 0 0
28.10, 100, 2 1 1
28.76, 93, 0 2 0
34.87, 42, 2 2 0
41.13, 36, 0 2 2
50.55, 39, 2 3 1

=====

No. 6
Structure and computed X-ray powder pattern of Sr12Tl5H2 (a cell relaxed with GGA-PBE; copper Kα).

Crystal structure
Unit cell a=16.380 b=9.995 c=10.005 alpha=90.00 beta=111.02 gamma=90.00
Space group C2/m (No. 12)
Symmetry-distinct sites (fractional):
Sr: 0.004 0.000 0.217
Sr: 0.057 0.500 0.714
Sr: 0.140 0.210 0.548
Sr: 0.155 0.247 0.088
Tl: 0.000 0.500 0.000
Tl: 0.204 0.000 0.867
Tl: 0.233 0.000 0.348
H: 0.000 0.345 0.500

Top 6 peaks for 15° ≤ 2θ ≤ 90°, by angle:
2θ/deg, I/Imax, hkl
19.55, 47, 3 1 0
19.87, 100, 1 1 -2
29.42, 97, 4 2 0
30.20, 53, 4 2 -2
32.30, 57, 1 3 -2
35.95, 85, 0 4 0